This entry pairs a crystal structure of Zn5Cu8Au with its computed powder diffractogram. Radiation: Cu Kα X-rays. Structure: a PBE-relaxed structure.
Kinematic intensities with the Lorentz-polarization factor, no thermal factor.

abc: 7.212 7.212 7.535
angles: 90.00 90.00 90.00
Space group I-4 (No. 82)
One atom of each set of equivalent atoms:
Zn: 0.000 0.000 0.000 [2 per cell]
Zn: 0.130 0.213 0.417 [8 per cell]
Cu: 0.069 0.336 0.098 [8 per cell]
Cu: 0.104 0.158 0.741 [8 per cell]
Au: 0.000 0.500 0.750 [2 per cell]

Largest 10 diffraction maxima, by angle, 2θ = 5–70°:
- 17.0 deg, d = 5.210 Å, intensity 19, (1 0 1)
- 30.1 deg, d = 2.965 Å, intensity 65, (2 1 1)
- 37.9 deg, d = 2.372 Å, intensity 96, (1 0 3)
- 39.3 deg, d = 2.290 Å, intensity 100, (3 0 1)
- 39.5 deg, d = 2.281 Å, intensity 71, (3 1 0)
- 42.8 deg, d = 2.112 Å, intensity 23, (2 2 2)
- 45.8 deg, d = 1.982 Å, intensity 81, (2 1 3)
- 46.6 deg, d = 1.951 Å, intensity 86, (3 1 2)
- 47.0 deg, d = 1.933 Å, intensity 78, (2 3 1)
- 64.1 deg, d = 1.452 Å, intensity 19, (1 3 4)